Entry 1:
Calculated powder diffraction line list of Li2CeCu2Se4 for CuKα, from a structure optimized by DFT (GGA-PBE).

Atomic structure:
a = 7.6109 Å, b = 7.6109 Å, c = 7.6626 Å
α = 119.81°, β = 119.81°, γ = 30.00°
Sites, in units of the cell vectors:
Li (0.1277, 0.1277, 0.1614)
Li (0.8723, 0.8723, 0.8386)
Ce (0.0000, 0.0000, 0.5000)
Cu (0.3192, 0.3192, 0.1190)
Cu (0.6808, 0.6808, 0.8810)
Se (0.2273, 0.2273, 0.7376)
Se (0.4914, 0.4914, 0.7645)
Se (0.5086, 0.5086, 0.2355)
Se (0.7727, 0.7727, 0.2624)

The 12 most intense peaks (15 to 90 degrees two-theta), in order of falling intensity:
| 2θ (°) | I_rel |
| --- | --- |
| 33.38 | 100 |
| 38.49 | 54 |
| 25.42 | 53 |
| 28.32 | 44 |
| 49.19 | 32 |
| 46.08 | 27 |
| 48.91 | 22 |
| 42.17 | 21 |
| 37.47 | 18 |
| 47.46 | 15 |
| 54.97 | 13 |
| 51.41 | 11 |



Entry 2:
Calculated powder diffraction line list of CeLu2Cu for CuKα, from a structure optimized by DFT (GGA-PBE).

Atomic structure:
a = 3.4201 Å, b = 3.4201 Å, c = 8.4305 Å
α = 90.00°, β = 90.00°, γ = 90.00°
Sites, in units of the cell vectors:
Ce (0.0000, 0.0000, 0.0000)
Lu (0.5000, 0.5000, 0.3042)
Lu (0.5000, 0.5000, 0.6958)
Cu (0.0000, 0.0000, 0.5000)

The 12 most intense peaks (15 to 90 degrees two-theta), in order of falling intensity:
| 2θ (°) | I_rel |
| --- | --- |
| 33.75 | 100 |
| 37.18 | 52 |
| 64.85 | 30 |
| 28.16 | 24 |
| 49.74 | 20 |
| 53.59 | 18 |
| 31.84 | 17 |
| 61.30 | 14 |
| 41.59 | 13 |
| 85.77 | 11 |
| 63.70 | 10 |
| 26.05 | 8 |



Entry 3:
Calculated powder diffraction line list of CeMg11Cu for CuKα, from a structure optimized by DFT (GGA-PBE).

Atomic structure:
a = 7.7700 Å, b = 7.7700 Å, c = 7.6633 Å
α = 97.18°, β = 97.18°, γ = 137.27°
Sites, in units of the cell vectors:
Ce (0.0000, 0.0000, 0.0000)
Mg (0.0000, 0.0000, 0.5000)
Mg (0.0000, 0.5000, 0.0000)
Mg (0.0094, 0.3529, 0.3583)
Mg (0.3007, 0.5070, 0.7796)
Mg (0.3529, 0.0094, 0.3583)
Mg (0.4930, 0.6993, 0.2204)
Mg (0.5000, 0.0000, 0.0000)
Mg (0.5070, 0.3007, 0.7796)
Mg (0.6471, 0.9906, 0.6417)
Mg (0.6993, 0.4930, 0.2204)
Mg (0.9906, 0.6471, 0.6417)
Cu (0.5000, 0.5000, 0.5000)

The 12 most intense peaks (15 to 90 degrees two-theta), in order of falling intensity:
| 2θ (°) | I_rel |
| --- | --- |
| 35.16 | 100 |
| 35.96 | 100 |
| 18.07 | 58 |
| 24.75 | 56 |
| 30.38 | 56 |
| 36.62 | 49 |
| 35.47 | 42 |
| 27.66 | 39 |
| 25.14 | 34 |
| 30.94 | 23 |
| 35.30 | 23 |
| 63.24 | 22 |



Entry 4:
Calculated powder diffraction line list of CeMgCu for CuKα, from a structure optimized by DFT (GGA-PBE).

Atomic structure:
a = 7.4545 Å, b = 7.4545 Å, c = 4.1376 Å
α = 90.00°, β = 90.00°, γ = 120.00°
Sites, in units of the cell vectors:
Ce (0.0000, 0.4193, 0.0000)
Ce (0.4193, 0.0000, 0.0000)
Ce (0.5807, 0.5807, 0.0000)
Mg (0.0000, 0.7612, 0.5000)
Mg (0.2388, 0.2388, 0.5000)
Mg (0.7612, 0.0000, 0.5000)
Cu (0.0000, 0.0000, 0.0000)
Cu (0.3333, 0.6667, 0.5000)
Cu (0.6667, 0.3333, 0.5000)

The 12 most intense peaks (15 to 90 degrees two-theta), in order of falling intensity:
| 2θ (°) | I_rel |
| --- | --- |
| 35.27 | 100 |
| 32.33 | 86 |
| 27.63 | 32 |
| 55.96 | 31 |
| 36.84 | 29 |
| 23.87 | 28 |
| 51.01 | 23 |
| 43.76 | 22 |
| 21.48 | 21 |
| 41.98 | 18 |
| 67.13 | 18 |
| 69.42 | 18 |



Entry 5:
Calculated powder diffraction line list of CeMg6Cu6 for CuKα, from a structure optimized by DFT (GGA-PBE).

Atomic structure:
a = 7.0454 Å, b = 7.0454 Å, c = 7.0454 Å
α = 136.41°, β = 98.29°, γ = 97.56°
Sites, in units of the cell vectors:
Ce (0.0000, 0.0000, 0.0000)
Mg (0.1928, 0.6928, 0.5000)
Mg (0.3387, 0.0000, 0.3387)
Mg (0.3467, 0.3467, 0.0000)
Mg (0.6533, 0.6533, 0.0000)
Mg (0.6613, 0.0000, 0.6613)
Mg (0.8072, 0.3072, 0.5000)
Cu (0.0000, 0.0000, 0.5000)
Cu (0.0000, 0.5000, 0.0000)
Cu (0.2273, 0.5000, 0.7273)
Cu (0.5000, 0.0000, 0.0000)
Cu (0.5000, 0.5000, 0.5000)
Cu (0.7727, 0.5000, 0.2727)

The 12 most intense peaks (15 to 90 degrees two-theta), in order of falling intensity:
| 2θ (°) | I_rel |
| --- | --- |
| 39.09 | 100 |
| 39.56 | 74 |
| 27.50 | 49 |
| 38.79 | 30 |
| 44.34 | 30 |
| 56.82 | 22 |
| 70.76 | 21 |
| 19.26 | 19 |
| 27.27 | 19 |
| 56.24 | 17 |
| 33.83 | 16 |
| 64.61 | 15 |



Entry 6:
Calculated powder diffraction line list of CeMgCu for CuKα, from a structure optimized by DFT (GGA-PBE).

Atomic structure:
a = 7.1242 Å, b = 7.1242 Å, c = 7.1242 Å
α = 38.66°, β = 38.66°, γ = 38.66°
Sites, in units of the cell vectors:
Ce (0.1343, 0.1343, 0.1343)
Ce (0.8657, 0.8657, 0.8657)
Mg (0.2992, 0.2992, 0.2992)
Mg (0.7008, 0.7008, 0.7008)
Cu (0.4328, 0.4328, 0.4328)
Cu (0.5672, 0.5672, 0.5672)

The 12 most intense peaks (15 to 90 degrees two-theta), in order of falling intensity:
| 2θ (°) | I_rel |
| --- | --- |
| 38.16 | 100 |
| 38.79 | 83 |
| 28.36 | 74 |
| 40.64 | 40 |
| 55.55 | 29 |
| 69.39 | 29 |
| 48.22 | 17 |
| 68.97 | 17 |
| 70.64 | 16 |
| 63.09 | 15 |
| 55.93 | 14 |
| 69.70 | 13 |



Entry 7:
Calculated powder diffraction line list of Ce2Mn3Cu9 for CuKα, from a structure optimized by DFT (GGA-PBE).

Atomic structure:
a = 5.2697 Å, b = 5.2697 Å, c = 8.9251 Å
α = 90.00°, β = 90.00°, γ = 123.68°
Sites, in units of the cell vectors:
Ce (0.0000, 0.0000, 0.0000)
Ce (0.5000, 0.5000, 0.4850)
Mn (0.0000, 0.0000, 0.3021)
Mn (0.0000, 0.0000, 0.6843)
Mn (0.5000, 0.5000, 0.1913)
Cu (0.0000, 0.5000, 0.2412)
Cu (0.0000, 0.5000, 0.7436)
Cu (0.1953, 0.8047, 0.4929)
Cu (0.3074, 0.6926, 0.9917)
Cu (0.5000, 0.0000, 0.2412)
Cu (0.5000, 0.0000, 0.7436)
Cu (0.5000, 0.5000, 0.8005)
Cu (0.6926, 0.3074, 0.9917)
Cu (0.8047, 0.1953, 0.4929)

The 12 most intense peaks (15 to 90 degrees two-theta), in order of falling intensity:
| 2θ (°) | I_rel |
| --- | --- |
| 46.08 | 100 |
| 35.60 | 60 |
| 36.50 | 44 |
| 38.76 | 43 |
| 41.57 | 43 |
| 40.43 | 41 |
| 41.17 | 35 |
| 36.12 | 20 |
| 71.98 | 19 |
| 71.81 | 16 |
| 57.25 | 15 |
| 74.30 | 15 |



Entry 8:
Calculated powder diffraction line list of Ce2CuWN5 for CuKα, from a structure optimized by DFT (GGA-PBE).

Atomic structure:
a = 7.1860 Å, b = 7.1860 Å, c = 9.7719 Å
α = 90.00°, β = 90.00°, γ = 154.00°
Sites, in units of the cell vectors:
Ce (0.1217, 0.8783, 0.5000)
Ce (0.1268, 0.8732, 0.0865)
Ce (0.8732, 0.1268, 0.5865)
Ce (0.8783, 0.1217, 0.0000)
Cu (0.4986, 0.5014, 0.2784)
Cu (0.5014, 0.4986, 0.7784)
W (0.2127, 0.7873, 0.7951)
W (0.7873, 0.2127, 0.2951)
N (0.0748, 0.9252, 0.8035)
N (0.2874, 0.7126, 0.4364)
N (0.2907, 0.7093, 0.1527)
N (0.3586, 0.6414, 0.7955)
N (0.5000, 0.5000, 0.0586)
N (0.5000, 0.5000, 0.5586)
N (0.6414, 0.3586, 0.2955)
N (0.7093, 0.2907, 0.6527)
N (0.7126, 0.2874, 0.9364)
N (0.9252, 0.0748, 0.3035)

The 12 most intense peaks (15 to 90 degrees two-theta), in order of falling intensity:
| 2θ (°) | I_rel |
| --- | --- |
| 31.44 | 100 |
| 39.81 | 93 |
| 33.72 | 75 |
| 30.26 | 56 |
| 57.35 | 45 |
| 46.77 | 37 |
| 33.86 | 36 |
| 36.79 | 35 |
| 39.71 | 30 |
| 50.76 | 29 |
| 34.99 | 27 |
| 58.63 | 26 |